[1]
Calculated powder diffractogram
Compound: Mg14TiCuO16
Radiation: copper Kα
Structure: a DFT-relaxed cell (PBE, the Materials Project)
Neutral-atom scattering factors, no anomalous dispersion.

Largest 10 diffraction maxima, by intensity, 10° ≤ 2θ ≤ 80°:
| d/Å | intensity |
| --- | --- |
| 2.155 | 1000 |
| 2.143 | 994 |
| 2.120 | 964 |
| 1.519 | 558 |
| 1.507 | 550 |
| 1.511 | 549 |
| 2.470 | 527 |
| 1.235 | 497 |
| 8.577 | 250 |
| 1.292 | 102 |

Atomic structure:
```
data_Mg14TiCuO16
_symmetry_space_group_name_H-M 'P 1'
_symmetry_Int_Tables_number 1
_symmetry_space_group_name_Hall 'P 1'
_cell_length_a 4.2394
_cell_length_b 8.5721
_cell_length_c 8.6189
_cell_angle_alpha 90.00
_cell_angle_beta 90.00
_cell_angle_gamma 90.00
loop_
_atom_site_label
_atom_site_type_symbol
_atom_site_fract_x
_atom_site_fract_y
_atom_site_fract_z
_atom_site_occupancy
Mg1 Mg 0.0000 0.0000 0.0000 1
Mg2 Mg 0.0000 0.0000 0.5000 1
Mg3 Mg 0.0000 0.2495 0.2431 1
Mg4 Mg 0.0000 0.2495 0.7569 1
Mg5 Mg 0.0000 0.7505 0.2431 1
Mg6 Mg 0.0000 0.7505 0.7569 1
Mg7 Mg 0.5000 0.0000 0.2477 1
Mg8 Mg 0.5000 0.0000 0.7523 1
Mg9 Mg 0.5000 0.2474 0.5000 1
Mg10 Mg 0.5000 0.2528 0.0000 1
Mg11 Mg 0.5000 0.5000 0.2411 1
Mg12 Mg 0.5000 0.5000 0.7589 1
Mg13 Mg 0.5000 0.7472 0.0000 1
Mg14 Mg 0.5000 0.7526 0.5000 1
Ti1 Ti 0.0000 0.5000 0.5000 1
Cu1 Cu 0.0000 0.5000 0.0000 1
O1 O 0.0000 0.0000 0.2544 1
O2 O 0.0000 0.0000 0.7456 1
O3 O 0.0000 0.2356 0.0000 1
O4 O 0.0000 0.2518 0.5000 1
O5 O 0.0000 0.5000 0.2697 1
O6 O 0.0000 0.5000 0.7303 1
O7 O 0.0000 0.7482 0.5000 1
O8 O 0.0000 0.7644 0.0000 1
O9 O 0.5000 0.0000 0.0000 1
O10 O 0.5000 0.0000 0.5000 1
O11 O 0.5000 0.2518 0.2510 1
O12 O 0.5000 0.2518 0.7490 1
O13 O 0.5000 0.5000 0.0000 1
O14 O 0.5000 0.5000 0.5000 1
O15 O 0.5000 0.7482 0.2510 1
O16 O 0.5000 0.7482 0.7490 1
```



[2]
Calculated powder diffractogram
Compound: Cs3ErO3
Radiation: copper Kα
Structure: a DFT-relaxed cell (PBE, the Materials Project)
Neutral-atom scattering factors, no anomalous dispersion.

Largest 10 diffraction maxima, by intensity, 10° ≤ 2θ ≤ 80°:
| d/Å | intensity |
| --- | --- |
| 3.239 | 1000 |
| 3.355 | 834 |
| 3.227 | 827 |
| 3.532 | 490 |
| 3.507 | 379 |
| 2.587 | 304 |
| 2.884 | 299 |
| 2.476 | 293 |
| 2.538 | 291 |
| 1.796 | 289 |

Atomic structure:
```
data_Cs3ErO3
_symmetry_space_group_name_H-M 'P 1'
_symmetry_Int_Tables_number 1
_symmetry_space_group_name_Hall 'P 1'
_cell_length_a 7.5983
_cell_length_b 7.5983
_cell_length_c 7.6308
_cell_angle_alpha 96.02
_cell_angle_beta 96.02
_cell_angle_gamma 116.33
loop_
_atom_site_label
_atom_site_type_symbol
_atom_site_fract_x
_atom_site_fract_y
_atom_site_fract_z
_atom_site_occupancy
Cs1 Cs 0.2090 0.7910 0.0000 1
Cs2 Cs 0.2618 0.7382 0.5000 1
Cs3 Cs 0.3592 0.3592 0.1502 1
Cs4 Cs 0.6408 0.6408 0.8498 1
Cs5 Cs 0.7382 0.2618 0.5000 1
Cs6 Cs 0.7910 0.2090 0.0000 1
Er1 Er 0.1707 0.1707 0.6485 1
Er2 Er 0.8293 0.8293 0.3515 1
O1 O 0.0991 0.0991 0.3580 1
O2 O 0.1645 0.4325 0.7645 1
O3 O 0.4325 0.1645 0.7645 1
O4 O 0.5675 0.8356 0.2355 1
O5 O 0.8356 0.5675 0.2355 1
O6 O 0.9009 0.9009 0.6420 1
```



[3]
Calculated powder diffractogram
Compound: Li2CeIn
Radiation: copper Kα
Structure: a DFT-relaxed cell (PBE, the Materials Project)
Neutral-atom scattering factors, no anomalous dispersion.

Largest 9 diffraction maxima, by intensity, 10° ≤ 2θ ≤ 80°:
| d/Å | intensity |
| --- | --- |
| 3.536 | 1000 |
| 2.501 | 930 |
| 1.582 | 380 |
| 1.444 | 328 |
| 2.042 | 290 |
| 1.768 | 162 |
| 1.250 | 101 |
| 4.084 | 15 |
| 2.133 | 8 |

Atomic structure:
```
data_Li2CeIn
_symmetry_space_group_name_H-M 'P 1'
_symmetry_Int_Tables_number 1
_symmetry_space_group_name_Hall 'P 1'
_cell_length_a 5.0013
_cell_length_b 5.0013
_cell_length_c 5.0013
_cell_angle_alpha 60.00
_cell_angle_beta 60.00
_cell_angle_gamma 60.00
loop_
_atom_site_label
_atom_site_type_symbol
_atom_site_fract_x
_atom_site_fract_y
_atom_site_fract_z
_atom_site_occupancy
Li1 Li 0.2500 0.2500 0.2500 1
Li2 Li 0.7500 0.7500 0.7500 1
Ce1 Ce 0.0000 0.0000 0.0000 1
In1 In 0.5000 0.5000 0.5000 1
```